# NdPuSN
Computed powder diffractogram, copper Kα. Input: a crystal structure in Alexandria, relaxed with PBE.
Lines closer than 0.1° are merged.

Principal peaks in the range 2θ = 10–80°, in order of rising 2θ:
13.87 deg, I 18.6
27.97 deg, I 36.6
29.18 deg, I 90.2
33.47 deg, I 100.0
36.38 deg, I 14.7
47.26 deg, I 29.7
48.84 deg, I 37.2
57.21 deg, I 25.7
57.91 deg, I 14.2
60.50 deg, I 18.1

Cell lengths 3.7295, 3.7295, 19.1545 Å; angles 90.00, 90.00, 120.00 degrees
Sites, in units of the cell vectors:
Nd 0.0000 0.0000 0.0000
Nd 0.3333 0.6667 0.6667
Nd 0.6667 0.3333 0.3333
Pu 0.0000 0.0000 0.4762
Pu 0.3333 0.6667 0.1429
Pu 0.6667 0.3333 0.8096
S 0.0000 0.0000 0.2346
S 0.3333 0.6667 0.9013
S 0.6667 0.3333 0.5679
N 0.0000 0.0000 0.7444
N 0.3333 0.6667 0.4111
N 0.6667 0.3333 0.0778


# NdPuVN3
Computed powder diffractogram, copper Kα. Input: a crystal structure in Alexandria, relaxed with PBE.
Lines closer than 0.1° are merged.

Principal peaks in the range 2θ = 10–80°, in order of rising 2θ:
11.82 deg, I 74.3
15.90 deg, I 44.4
25.91 deg, I 31.4
28.37 deg, I 82.8
28.70 deg, I 50.1
32.12 deg, I 52.3
35.29 deg, I 66.6
35.84 deg, I 100.0
36.00 deg, I 45.6
36.82 deg, I 35.2

Cell lengths 7.3077, 3.4671, 7.5457 Å; angles 90.00, 97.32, 90.00 degrees
Sites, in units of the cell vectors:
Nd 0.1646 0.2500 0.1724
Nd 0.8354 0.7500 0.8276
Pu 0.3662 0.7500 0.8294
Pu 0.6338 0.2500 0.1706
V 0.0959 0.2500 0.5941
V 0.9041 0.7500 0.4059
N 0.1159 0.2500 0.8440
N 0.1654 0.7500 0.5048
N 0.4128 0.7500 0.1292
N 0.5872 0.2500 0.8708
N 0.8346 0.2500 0.4952
N 0.8841 0.7500 0.1560


# Tb2NdRuN4
Computed powder diffractogram, copper Kα. Input: a crystal structure in Alexandria, relaxed with PBE.
Lines closer than 0.1° are merged.

Principal peaks in the range 2θ = 10–80°, in order of rising 2θ:
27.48 deg, I 41.7
30.48 deg, I 63.2
30.59 deg, I 39.1
31.04 deg, I 100.0
35.55 deg, I 25.2
38.02 deg, I 95.0
43.73 deg, I 28.5
49.49 deg, I 22.5
52.73 deg, I 24.5
62.45 deg, I 27.1

Cell lengths 6.1149, 6.1149, 11.6891 Å; angles 90.00, 90.00, 147.21 degrees
Sites, in units of the cell vectors:
Tb 0.1312 0.8688 0.5426
Tb 0.1312 0.8688 0.9574
Tb 0.8688 0.1312 0.0426
Tb 0.8688 0.1312 0.4574
Nd 0.3799 0.6201 0.7500
Nd 0.6201 0.3799 0.2500
Ru 0.3561 0.6439 0.2500
Ru 0.6439 0.3561 0.7500
N 0.0596 0.9404 0.7500
N 0.2323 0.7677 0.1286
N 0.2323 0.7677 0.3714
N 0.5000 0.5000 0.0000
N 0.5000 0.5000 0.5000
N 0.7677 0.2323 0.6286
N 0.7677 0.2323 0.8714
N 0.9404 0.0596 0.2500


# Nd5S4N
Computed powder diffractogram, copper Kα. Input: a crystal structure in Alexandria, relaxed with PBE.
Lines closer than 0.1° are merged.

Principal peaks in the range 2θ = 10–80°, in order of rising 2θ:
27.27 deg, I 100.0
31.48 deg, I 38.3
31.64 deg, I 88.2
36.26 deg, I 11.0
45.25 deg, I 48.2
45.36 deg, I 31.8
53.74 deg, I 32.7
56.26 deg, I 26.7
75.05 deg, I 10.9
75.13 deg, I 14.0

Cell lengths 14.4839, 14.4839, 14.4839 Å; angles 164.13, 164.13, 22.51 degrees
Sites, in units of the cell vectors:
Nd 0.0000 0.0000 0.0000
Nd 0.2021 0.2021 0.0000
Nd 0.4143 0.4143 0.0000
Nd 0.5857 0.5857 0.0000
Nd 0.7979 0.7979 0.0000
S 0.0995 0.0995 0.0000
S 0.3046 0.3046 0.0000
S 0.6954 0.6954 0.0000
S 0.9005 0.9005 0.0000
N 0.5000 0.5000 0.0000


# Nd7S5N
Computed powder diffractogram, copper Kα. Input: a crystal structure in Alexandria, relaxed with PBE.
Lines closer than 0.1° are merged.

Principal peaks in the range 2θ = 10–80°, in order of rising 2θ:
26.21 deg, I 40.8
26.61 deg, I 36.5
27.91 deg, I 69.9
28.45 deg, I 100.0
31.25 deg, I 84.4
31.76 deg, I 42.1
32.31 deg, I 77.8
43.84 deg, I 34.4
44.74 deg, I 46.8
46.81 deg, I 33.8

Cell lengths 7.0349, 7.0349, 24.7970 Å; angles 90.00, 90.00, 147.97 degrees
Sites, in units of the cell vectors:
Nd 0.0456 0.9544 0.5000
Nd 0.1078 0.8922 0.7798
Nd 0.1679 0.8321 0.2054
Nd 0.2656 0.7344 0.5596
Nd 0.3388 0.6612 0.4116
Nd 0.3904 0.6096 0.8460
Nd 0.4432 0.5568 0.1294
Nd 0.5568 0.4432 0.6294
Nd 0.6096 0.3904 0.3460
Nd 0.6612 0.3388 0.9116
Nd 0.7344 0.2656 0.0596
Nd 0.8321 0.1679 0.7054
Nd 0.8922 0.1078 0.2798
Nd 0.9544 0.0456 0.0000
S 0.0215 0.9785 0.8876
S 0.0865 0.9135 0.0956
S 0.1937 0.8063 0.6693
S 0.2501 0.7499 0.3104
S 0.4712 0.5288 0.7408
S 0.5288 0.4712 0.2408
S 0.7499 0.2501 0.8104
S 0.8063 0.1937 0.1693
S 0.9135 0.0865 0.5956
S 0.9785 0.0215 0.3876
N 0.3695 0.6305 0.0438
N 0.6305 0.3695 0.5438


# Nd5S5N2
Computed powder diffractogram, copper Kα. Input: a crystal structure in Alexandria, relaxed with PBE.
Lines closer than 0.1° are merged.

Principal peaks in the range 2θ = 10–80°, in order of rising 2θ:
25.19 deg, I 100.0
25.91 deg, I 25.0
30.67 deg, I 69.6
31.30 deg, I 21.5
32.42 deg, I 24.0
36.63 deg, I 22.8
40.06 deg, I 18.9
43.01 deg, I 17.4
46.07 deg, I 44.5
48.01 deg, I 21.7

Cell lengths 6.8252, 6.8252, 11.0195 Å; angles 106.72, 106.72, 33.53 degrees
Sites, in units of the cell vectors:
Nd 0.0000 0.0000 0.0000
Nd 0.1021 0.1021 0.3840
Nd 0.3444 0.3444 0.2028
Nd 0.6556 0.6556 0.7972
Nd 0.8979 0.8979 0.6160
S 0.2520 0.2520 0.6443
S 0.3368 0.3368 0.9377
S 0.5000 0.5000 0.5000
S 0.6632 0.6632 0.0623
S 0.7480 0.7480 0.3557
N 0.0436 0.0436 0.7951
N 0.9564 0.9564 0.2049


# NdSN4
Computed powder diffractogram, copper Kα. Input: a crystal structure in Alexandria, relaxed with PBE.
Lines closer than 0.1° are merged.

Principal peaks in the range 2θ = 10–80°, in order of rising 2θ:
14.13 deg, I 100.0
17.75 deg, I 63.2
19.97 deg, I 76.3
27.66 deg, I 58.3
28.30 deg, I 35.9
31.76 deg, I 35.6
31.89 deg, I 41.1
35.37 deg, I 25.9
38.26 deg, I 34.8
42.57 deg, I 25.9

Cell lengths 6.9055, 6.9055, 6.7161 Å; angles 98.30, 98.30, 130.32 degrees
Sites, in units of the cell vectors:
Nd 0.0670 0.9330 0.7500
Nd 0.9330 0.0670 0.2500
S 0.4659 0.5341 0.2500
S 0.5341 0.4659 0.7500
N 0.0460 0.5794 0.9601
N 0.2413 0.3009 0.6011
N 0.3009 0.2413 0.1011
N 0.4206 0.9540 0.5399
N 0.5794 0.0460 0.4601
N 0.6991 0.7587 0.8989
N 0.7587 0.6991 0.3989
N 0.9540 0.4206 0.0399


# Nd3S2N
Computed powder diffractogram, copper Kα. Input: a crystal structure in Alexandria, relaxed with PBE.
Lines closer than 0.1° are merged.

Principal peaks in the range 2θ = 10–80°, in order of rising 2θ:
22.00 deg, I 72.1
23.00 deg, I 39.1
27.17 deg, I 100.0
28.00 deg, I 72.2
31.82 deg, I 67.8
37.29 deg, I 43.5
37.96 deg, I 23.6
39.02 deg, I 33.1
39.80 deg, I 55.8
51.83 deg, I 51.0

Cell lengths 8.0928, 8.0928, 5.6243 Å; angles 90.00, 90.00, 57.09 degrees
Sites, in units of the cell vectors:
Nd 0.1485 0.8515 0.5000
Nd 0.1920 0.5354 0.0041
Nd 0.4646 0.8080 0.0041
Nd 0.5354 0.1920 0.5041
Nd 0.8080 0.4646 0.5041
Nd 0.8515 0.1485 0.0000
S 0.1345 0.5144 0.5025
S 0.4856 0.8655 0.5025
S 0.5144 0.1345 0.0025
S 0.8655 0.4856 0.0025
N 0.1528 0.8472 0.0149
N 0.8472 0.1528 0.5149